[1]
Simulated powder diffractogram
Compound: Tb3Al6Pd20
Radiation: λ = 1.5418 Å (Cu Kα)
Structure: DFT lattice parameters and positions (GGA-PBE)

Principal peaks in the range 15 to 90 degrees two-theta, in order of falling intensity:
| hkl | 2theta | I_rel |
| --- | --- | --- |
| 3 3 3 | 37.5 | 1000 |
| 4 2 2 | 35.3 | 370 |
| 4 4 0 | 41.0 | 332 |
| 6 6 0 | 63.4 | 285 |
| 5 3 1 | 43.0 | 228 |
| 8 4 4 | 74.7 | 224 |
| 4 2 0 | 32.1 | 202 |
| 5 5 5 | 64.8 | 155 |
| 6 0 0 | 43.6 | 117 |
| 6 2 2 | 48.5 | 113 |
| 9 3 3 | 76.0 | 92 |
| 6 4 4 | 61.4 | 65 |

Atomic structure:
Cell: 12.456 12.456 12.456 Å, 90.00 90.00 90.00°
Space group Fm-3m (No. 225)
Symmetry-distinct sites (fractional):
Tb (0.000, 0.000, 0.000) x4
Tb (0.250, 0.250, 0.250) x8
Al (0.000, 0.000, 0.273) x24
Pd (0.000, 0.172, 0.172) x48
Pd (0.120, 0.120, 0.380) x32



[2]
Simulated powder diffractogram
Compound: Tb3Al5Pd
Radiation: λ = 1.5418 Å (Cu Kα)
Structure: DFT lattice parameters and positions (GGA-PBE)

Principal peaks in the range 15 to 90 degrees two-theta, in order of falling intensity:
| hkl | 2theta | I_rel |
| --- | --- | --- |
| 2 0 1 | 35.9 | 1000 |
| 1 1 1 | 32.6 | 798 |
| 0 0 1 | 20.2 | 625 |
| 2 0 0 | 29.3 | 509 |
| 1 1 0 | 25.3 | 364 |
| 3 1 1 | 58.6 | 345 |
| 0 0 2 | 41.0 | 267 |
| 2 1 0 | 39.2 | 267 |
| 2 0 2 | 51.2 | 218 |
| 3 1 0 | 54.3 | 197 |
| 3 2 1 | 70.8 | 189 |
| 2 1 1 | 44.4 | 188 |

Atomic structure:
Cell: 7.0278 7.0278 4.4001 Å, 90.00 90.00 120.00°
Space group P-62m (No. 189)
Symmetry-distinct sites (fractional):
Tb (0.0000, 0.4145, 0.0000) x3
Al (0.0000, 0.7661, 0.5000) x3
Al (0.3333, 0.6667, 0.5000) x2
Pd (0.0000, 0.0000, 0.0000) x1



[3]
Simulated powder diffractogram
Compound: TbAl12Pd6
Radiation: λ = 1.5418 Å (Cu Kα)
Structure: DFT lattice parameters and positions (GGA-PBE)

Principal peaks in the range 15 to 90 degrees two-theta, in order of falling intensity:
| hkl | 2theta | I_rel |
| --- | --- | --- |
| 2 1 1 | 26.0 | 1000 |
| 2 2 0 | 31.5 | 741 |
| 0 2 4 | 45.4 | 635 |
| 1 2 2 | 31.6 | 470 |
| 2 3 2 | 45.2 | 441 |
| 2 0 2 | 27.3 | 430 |
| 0 1 2 | 22.3 | 421 |
| 3 2 1 | 41.3 | 343 |
| 1 1 3 | 34.6 | 341 |
| 3 0 3 | 41.5 | 340 |
| 5 2 3 | 67.6 | 313 |
| 0 5 1 | 47.3 | 295 |

Atomic structure:
Cell: 11.3680 11.3680 8.7341 Å, 90.00 90.00 120.00°
Space group R-3m (No. 166, hexagonal axes)
Symmetry-distinct sites (fractional):
Tb (0.0000, 0.0000, 0.0000) x3
Al (0.0000, 0.3854, 0.5000) x18
Al (0.0837, 0.1675, 0.3155) x18
Pd (0.0472, 0.5236, 0.2438) x18



[4]
Simulated powder diffractogram
Compound: TbAlZnPd2
Radiation: λ = 1.5418 Å (Cu Kα)
Structure: DFT lattice parameters and positions (GGA-PBE)

Principal peaks in the range 15 to 90 degrees two-theta, in order of falling intensity:
| hkl | 2theta | I_rel |
| --- | --- | --- |
| 1 5 1 | 41.7 | 1000 |
| 1 3 1 | 31.1 | 982 |
| 2 0 0 | 33.8 | 614 |
| 0 2 2 | 35.7 | 513 |
| 2 2 2 | 50.0 | 261 |
| 3 5 1 | 65.9 | 255 |
| 1 1 2 | 37.8 | 241 |
| 2 0 2 | 47.9 | 204 |
| 0 0 2 | 32.9 | 190 |
| 2 4 1 | 47.0 | 180 |
| 3 3 1 | 58.8 | 160 |
| 1 5 3 | 64.8 | 158 |

Atomic structure:
Cell: 5.308 13.169 5.441 Å, 90.00 90.00 90.00°
Space group Cmme (No. 67)
Symmetry-distinct sites (fractional):
Tb (0.000, 0.250, 0.227) x4
Al (0.250, 0.000, 0.500) x4
Zn (0.000, 0.000, 0.000) x4
Pd (0.000, 0.145, 0.699) x8



[5]
Simulated powder diffractogram
Compound: Th2Al12Pd7
Radiation: λ = 1.5418 Å (Cu Kα)
Structure: DFT lattice parameters and positions (GGA-PBE)

Principal peaks in the range 15 to 90 degrees two-theta, in order of falling intensity:
| hkl | 2theta | I_rel |
| --- | --- | --- |
| 1 2 1 | 34.8 | 1000 |
| 2 0 1 | 29.6 | 965 |
| 3 0 0 | 31.2 | 354 |
| 0 0 2 | 42.5 | 334 |
| 3 2 1 | 51.1 | 332 |
| 2 2 0 | 36.2 | 315 |
| 1 2 0 | 27.4 | 281 |
| 1 1 0 | 17.9 | 266 |
| 3 1 1 | 43.5 | 258 |
| 1 4 0 | 48.5 | 255 |
| 2 2 1 | 42.2 | 248 |
| 1 0 1 | 23.4 | 207 |

Atomic structure:
Cell: 9.9266 9.9266 4.2496 Å, 90.00 90.00 120.00°
Space group P-6 (No. 174)
Symmetry-distinct sites (fractional):
Th (0.0000, 0.0000, 0.0000) x1
Th (0.3333, 0.6667, 0.5000) x1
Al (0.0163, 0.2797, 0.5000) x3
Al (0.1481, 0.7608, 0.0000) x3
Al (0.3756, 0.2039, 0.0000) x3
Al (0.5477, 0.4155, 0.5000) x3
Pd (0.0230, 0.4571, 0.0000) x3
Pd (0.2484, 0.2419, 0.5000) x3
Pd (0.6667, 0.3333, 0.0000) x1



[6]
Simulated powder diffractogram
Compound: Th2Al3Pd4
Radiation: λ = 1.5418 Å (Cu Kα)
Structure: DFT lattice parameters and positions (GGA-PBE)

Principal peaks in the range 15 to 90 degrees two-theta, in order of falling intensity:
| hkl | 2theta | I_rel |
| --- | --- | --- |
| 1 5 1 | 34.3 | 1000 |
| 0 2 3 | 37.7 | 544 |
| 2 0 2 | 39.3 | 543 |
| 2 2 1 | 35.1 | 521 |
| 1 3 2 | 33.1 | 465 |
| 1 7 2 | 49.5 | 357 |
| 1 1 1 | 20.2 | 342 |
| 0 4 0 | 22.4 | 341 |
| 2 4 0 | 38.5 | 242 |
| 3 5 1 | 57.2 | 234 |
| 1 9 1 | 55.8 | 208 |
| 4 0 0 | 64.4 | 208 |

Atomic structure:
Cell: 5.787 15.892 7.495 Å, 90.00 90.00 90.00°
Space group Cmce (No. 64)
Symmetry-distinct sites (fractional):
Th (0.000, 0.108, 0.087) x8
Al (0.000, 0.000, 0.500) x4
Al (0.250, 0.230, 0.750) x8
Pd (0.000, 0.179, 0.479) x8
Pd (0.250, 0.065, 0.750) x8